For Cs2I4O11, a crystal structure in the Materials Project, relaxed with PBE gives the computed powder diffractogram in this record (λ = 1.5418 Å (Cu Kα)).

Structure:
```
data_Cs2I4O11
_cell_length_a 7.430
_cell_length_b 7.430
_cell_length_c 14.187
_cell_angle_alpha 90.00
_cell_angle_beta 90.00
_cell_angle_gamma 120.00
_space_group_name_H-M_alt 'P 1'
_space_group_IT_number 1
loop_
_space_group_symop_operation_xyz
'x,y,z'
loop_
_atom_site_label
_atom_site_type_symbol
_atom_site_fract_x
_atom_site_fract_y
_atom_site_fract_z
Cs1 Cs 0.333 0.667 0.000
Cs2 Cs 0.333 0.667 0.370
Cs3 Cs 0.667 0.333 0.500
Cs4 Cs 0.667 0.333 0.870
I1 I 0.000 0.000 0.423
I2 I 0.000 0.000 0.923
I3 I 0.146 0.814 0.675
I4 I 0.186 0.333 0.675
I5 I 0.333 0.146 0.175
I6 I 0.667 0.854 0.675
I7 I 0.814 0.667 0.175
I8 I 0.854 0.186 0.175
O1 O 0.000 0.000 0.172
O2 O 0.000 0.000 0.672
O3 O 0.058 0.667 0.183
O4 O 0.092 0.839 0.864
O5 O 0.115 0.770 0.549
O6 O 0.161 0.253 0.864
O7 O 0.230 0.345 0.549
O8 O 0.253 0.092 0.364
O9 O 0.333 0.391 0.183
O10 O 0.333 0.667 0.692
O11 O 0.345 0.115 0.049
O12 O 0.391 0.058 0.683
O13 O 0.609 0.942 0.183
O14 O 0.655 0.885 0.549
O15 O 0.667 0.333 0.192
O16 O 0.667 0.609 0.683
O17 O 0.747 0.908 0.864
O18 O 0.770 0.655 0.049
O19 O 0.839 0.747 0.364
O20 O 0.885 0.230 0.049
O21 O 0.908 0.161 0.364
O22 O 0.942 0.333 0.683
```

The 8 most intense peaks (2θ from 10° to 80°), by angle:
2theta, I/Imax
23.3, 79
24.0, 24
25.1, 33
27.1, 100
28.4, 92
41.8, 36
42.5, 43
49.0, 35


For PbAu2, a crystal structure in the Materials Project, relaxed with PBE gives the computed powder diffractogram in this record (λ = 1.5418 Å (Cu Kα)).

Structure:
```
data_PbAu2
_cell_length_a 5.754
_cell_length_b 5.754
_cell_length_c 5.754
_cell_angle_alpha 60.00
_cell_angle_beta 60.00
_cell_angle_gamma 60.00
_space_group_name_H-M_alt 'P 1'
_space_group_IT_number 1
loop_
_space_group_symop_operation_xyz
'x,y,z'
loop_
_atom_site_label
_atom_site_type_symbol
_atom_site_fract_x
_atom_site_fract_y
_atom_site_fract_z
Pb1 Pb 0.125 0.125 0.125
Pb2 Pb 0.875 0.875 0.875
Au1 Au 0.000 0.500 0.500
Au2 Au 0.500 0.000 0.500
Au3 Au 0.500 0.500 0.000
Au4 Au 0.500 0.500 0.500
```

The 8 most intense peaks (2θ from 10° to 80°), by angle:
2theta, I/Imax
31.1, 27
36.6, 100
38.3, 39
55.3, 11
59.0, 34
64.8, 30
76.8, 12
77.9, 16


For MnVS2, a crystal structure in the Materials Project, relaxed with PBE gives the computed powder diffractogram in this record (λ = 1.5418 Å (Cu Kα)).

Structure:
```
data_MnVS2
_cell_length_a 3.682
_cell_length_b 3.682
_cell_length_c 16.712
_cell_angle_alpha 90.00
_cell_angle_beta 90.00
_cell_angle_gamma 120.00
_space_group_name_H-M_alt 'P 1'
_space_group_IT_number 1
loop_
_space_group_symop_operation_xyz
'x,y,z'
loop_
_atom_site_label
_atom_site_type_symbol
_atom_site_fract_x
_atom_site_fract_y
_atom_site_fract_z
Mn1 Mn 0.000 0.000 0.000
Mn2 Mn 0.333 0.667 0.667
Mn3 Mn 0.667 0.333 0.333
V1 V 0.000 0.000 0.500
V2 V 0.333 0.667 0.167
V3 V 0.667 0.333 0.833
S1 S 0.000 0.000 0.246
S2 S 0.000 0.000 0.754
S3 S 0.333 0.667 0.421
S4 S 0.333 0.667 0.913
S5 S 0.667 0.333 0.087
S6 S 0.667 0.333 0.579
```

The 8 most intense peaks (2θ from 10° to 80°), by angle:
2theta, I/Imax
30.0, 8
32.1, 2
35.4, 100
49.5, 35
52.4, 29
62.3, 16
67.2, 4
74.9, 9